Simulated powder diffractogram of Li3MnCoO5 for Cu Kα (λ = 1.5418 Å), from the PBE+U geometry in the Materials Project.
Intensities are scaled so that the largest is 100.

Unit cell a=2.9731 b=5.0752 c=12.5056 alpha=78.92 beta=88.22 gamma=76.32
Sites, in units of the cell vectors:
Li  0.0000  0.0000  0.0000
Li  0.0884  0.8189  0.7045
Li  0.1923  0.6120  0.4009
Li  0.4085  0.1923  0.8018
Li  0.6081  0.8063  0.2046
Li  0.8364  0.3896  0.6142
Mn  0.3043  0.4025  0.1026
Mn  0.5125  0.0006  0.5097
Co  0.6937  0.6084  0.8945
Co  0.9231  0.1955  0.3044
O  0.0396  0.8743  0.8584
O  0.1120  0.7448  0.5472
O  0.2410  0.4822  0.2525
O  0.3687  0.3206  0.9570
O  0.4490  0.1098  0.6420
O  0.5816  0.9213  0.3577
O  0.6351  0.6870  0.0450
O  0.7585  0.5027  0.7698
O  0.9029  0.2642  0.4527
O  0.9795  0.1108  0.1600

Principal peaks in the range 2θ from 10° to 90°, by angle:
2θ 18.37, intensity 100.0
2θ 34.52, intensity 16.9
2θ 36.65, intensity 21.5
2θ 41.38, intensity 34.0
2θ 44.57, intensity 26.8
2θ 44.70, intensity 25.8



Simulated powder diffractogram of Li4Mn3CoO8 for Cu Kα (λ = 1.5418 Å), from the PBE+U geometry in the Materials Project.
Intensities are scaled so that the largest is 100.

Unit cell a=5.9212 b=5.9683 c=10.2128 alpha=74.87 beta=74.80 gamma=61.07
Sites, in units of the cell vectors:
Li  0.0000  0.0000  0.0000
Li  0.0015  0.4974  0.9999
Li  0.2425  0.2409  0.7576
Li  0.2512  0.7599  0.7426
Li  0.4990  0.5000  0.4980
Li  0.5000  0.9989  0.4999
Li  0.7431  0.2377  0.2585
Li  0.7525  0.7591  0.2446
Mn  0.0007  0.4979  0.4998
Mn  0.0006  0.9987  0.4998
Mn  0.2516  0.2467  0.2504
Mn  0.5009  0.9981  0.0000
Mn  0.5015  0.4969  0.9999
Mn  0.7432  0.7510  0.7519
Co  0.2469  0.7514  0.2496
Co  0.7558  0.2438  0.7497
O  0.1203  0.1062  0.6211
O  0.1266  0.6430  0.6047
O  0.1616  0.5823  0.1263
O  0.1628  0.1194  0.1209
O  0.3397  0.9076  0.3766
O  0.3442  0.3785  0.3752
O  0.3641  0.8974  0.8835
O  0.3952  0.3472  0.8884
O  0.6060  0.6477  0.1120
O  0.6374  0.0983  0.1162
O  0.6595  0.6171  0.6253
O  0.6646  0.0870  0.6228
O  0.8410  0.8764  0.8784
O  0.8431  0.4079  0.8742
O  0.8731  0.3552  0.3949
O  0.8836  0.8900  0.3773

Principal peaks in the range 2θ from 10° to 90°, by angle:
2θ 18.25, intensity 100.0
2θ 34.83, intensity 14.9
2θ 35.06, intensity 15.2
2θ 42.19, intensity 27.6
2θ 42.50, intensity 26.9
2θ 43.86, intensity 24.7



Simulated powder diffractogram of Li7Mn2Co3O12 for Cu Kα (λ = 1.5418 Å), from the PBE+U geometry in the Materials Project.
Intensities are scaled so that the largest is 100.

Unit cell a=3.0067 b=7.6188 c=10.1168 alpha=72.74 beta=88.01 gamma=81.85
Sites, in units of the cell vectors:
Li  0.0000  0.0000  0.0000
Li  0.1575  0.6659  0.2456
Li  0.1711  0.6635  0.7546
Li  0.4976  0.0028  0.2431
Li  0.5024  0.9972  0.7569
Li  0.8289  0.3365  0.2454
Li  0.8425  0.3341  0.7544
Mn  0.3408  0.3306  0.5040
Mn  0.6592  0.6694  0.4960
Co  0.0000  0.0000  0.5000
Co  0.3441  0.3236  0.0022
Co  0.6559  0.6764  0.9978
O  0.0498  0.8316  0.3777
O  0.0658  0.8186  0.8847
O  0.2755  0.4945  0.1079
O  0.2786  0.5033  0.6169
O  0.4029  0.1924  0.8860
O  0.4084  0.1610  0.3880
O  0.5916  0.8390  0.6120
O  0.5971  0.8076  0.1140
O  0.7214  0.4967  0.3831
O  0.7245  0.5055  0.8921
O  0.9342  0.1814  0.1153
O  0.9502  0.1684  0.6223

Principal peaks in the range 2θ from 10° to 90°, by angle:
2θ 18.37, intensity 100.0
2θ 34.14, intensity 20.5
2θ 40.95, intensity 36.7
2θ 44.37, intensity 28.1
2θ 44.68, intensity 26.9
2θ 61.95, intensity 17.0



Simulated powder diffractogram of Li5MnCo2O8 for Cu Kα (λ = 1.5418 Å), from the PBE+U geometry in the Materials Project.
Intensities are scaled so that the largest is 100.

Unit cell a=5.8700 b=5.8700 c=4.9692 alpha=105.77 beta=105.77 gamma=60.45
Sites, in units of the cell vectors:
Li  0.0000  0.0000  0.0000
Li  0.0000  0.5000  0.0000
Li  0.2492  0.2492  0.4959
Li  0.5000  0.0000  0.0000
Li  0.7508  0.7508  0.5041
Mn  0.5000  0.5000  0.0000
Co  0.2400  0.7600  0.5000
Co  0.7600  0.2400  0.5000
O  0.1177  0.1177  0.7231
O  0.1585  0.6212  0.7502
O  0.3788  0.8415  0.2498
O  0.3843  0.3843  0.2413
O  0.6157  0.6157  0.7587
O  0.6212  0.1585  0.7502
O  0.8415  0.3788  0.2498
O  0.8823  0.8823  0.2769

Principal peaks in the range 2θ from 10° to 90°, by angle:
2θ 17.61, intensity 16.3
2θ 18.43, intensity 100.0
2θ 35.86, intensity 26.9
2θ 43.43, intensity 63.5
2θ 44.53, intensity 28.9
2θ 63.40, intensity 16.1



Simulated powder diffractogram of LiMn2CoO6 for Cu Kα (λ = 1.5418 Å), from the PBE+U geometry in the Materials Project.
Intensities are scaled so that the largest is 100.

Unit cell a=6.5499 b=6.5499 c=5.9137 alpha=103.96 beta=103.96 gamma=25.93
Sites, in units of the cell vectors:
Li  0.0000  0.0000  0.0000
Mn  0.3315  0.3315  0.1804
Mn  0.6685  0.6685  0.8196
Co  0.0000  0.0000  0.5000
O  0.1549  0.1549  0.6017
O  0.1735  0.1735  0.0429
O  0.4847  0.4847  0.2541
O  0.5153  0.5153  0.7459
O  0.8265  0.8265  0.9571
O  0.8451  0.8451  0.3983

Principal peaks in the range 2θ from 10° to 90°, by angle:
2θ 18.32, intensity 100.0
2θ 35.90, intensity 23.8
2θ 36.27, intensity 10.3
2θ 43.42, intensity 35.8
2θ 43.92, intensity 17.1
2θ 63.88, intensity 9.6



Simulated powder diffractogram of Li3MnCoO5 for Cu Kα (λ = 1.5418 Å), from the PBE+U geometry in the Materials Project.
Intensities are scaled so that the largest is 100.

Unit cell a=5.1129 b=5.1129 c=12.7509 alpha=100.99 beta=100.99 gamma=33.18
Sites, in units of the cell vectors:
Li  0.0000  0.0000  0.0000
Li  0.0974  0.0974  0.6982
Li  0.2979  0.2979  0.0883
Li  0.5000  0.5000  0.5000
Li  0.7021  0.7021  0.9117
Li  0.9026  0.9026  0.3018
Mn  0.3987  0.3987  0.8053
Mn  0.6013  0.6013  0.1947
Co  0.1977  0.1977  0.4017
Co  0.8023  0.8023  0.5983
O  0.0293  0.0293  0.8408
O  0.1590  0.1590  0.5492
O  0.2349  0.2349  0.2516
O  0.3483  0.3483  0.9355
O  0.4390  0.4390  0.6518
O  0.5610  0.5610  0.3482
O  0.6517  0.6517  0.0645
O  0.7651  0.7651  0.7484
O  0.8410  0.8410  0.4508
O  0.9707  0.9707  0.1592

Principal peaks in the range 2θ from 10° to 90°, by angle:
2θ 18.43, intensity 100.0
2θ 35.96, intensity 37.0
2θ 43.52, intensity 57.4
2θ 43.81, intensity 27.2
2θ 57.42, intensity 10.6
2θ 63.46, intensity 29.3



Simulated powder diffractogram of Li4MnCo2O7 for Cu Kα (λ = 1.5418 Å), from the PBE+U geometry in the Materials Project.
Intensities are scaled so that the largest is 100.

Unit cell a=4.9911 b=5.8860 c=8.9648 alpha=90.08 beta=96.28 gamma=105.63
Sites, in units of the cell vectors:
Li  0.0000  0.0000  0.0000
Li  0.0095  0.4979  0.0033
Li  0.1413  0.7888  0.2721
Li  0.2771  0.0730  0.5665
Li  0.4215  0.3525  0.8636
Li  0.5777  0.6437  0.1416
Li  0.7072  0.9295  0.4142
Li  0.8594  0.2131  0.7204
Mn  0.4250  0.8570  0.8590
Mn  0.8537  0.7130  0.7157
Co  0.1423  0.2819  0.2765
Co  0.2847  0.5718  0.5689
Co  0.5688  0.1366  0.1324
Co  0.7101  0.4291  0.4228
O  0.0042  0.2782  0.5004
O  0.1334  0.0017  0.7790
O  0.1349  0.5573  0.7849
O  0.3007  0.3106  0.0780
O  0.3039  0.8227  0.0513
O  0.4225  0.1219  0.3527
O  0.4389  0.5982  0.3618
O  0.5628  0.8686  0.6522
O  0.5720  0.4201  0.6365
O  0.6815  0.1505  0.9181
O  0.7019  0.6851  0.9043
O  0.8484  0.9819  0.2111
O  0.8689  0.4549  0.2187
O  0.9993  0.7324  0.5171

Principal peaks in the range 2θ from 10° to 90°, by angle:
2θ 18.29, intensity 100.0
2θ 35.48, intensity 14.6
2θ 42.81, intensity 29.3
2θ 43.31, intensity 28.3
2θ 44.44, intensity 25.9
2θ 62.53, intensity 15.8



Simulated powder diffractogram of Li7Mn2Co3O12 for Cu Kα (λ = 1.5418 Å), from the PBE+U geometry in the Materials Project.
Intensities are scaled so that the largest is 100.

Unit cell a=6.6156 b=6.6156 c=5.0203 alpha=97.03 beta=97.03 gamma=83.90
Sites, in units of the cell vectors:
Li  0.0000  0.0000  0.0000
Li  0.0793  0.4056  0.2406
Li  0.2416  0.2429  0.7484
Li  0.4073  0.0836  0.2509
Li  0.5944  0.9207  0.7594
Li  0.7571  0.7584  0.2516
Li  0.9164  0.5927  0.7491
Mn  0.3325  0.6675  0.0000
Mn  0.5002  0.4998  0.5000
Co  0.1555  0.8445  0.5000
Co  0.6809  0.3191  0.0000
Co  0.8380  0.1620  0.5000
O  0.0719  0.7069  0.1369
O  0.1172  0.1201  0.3861
O  0.2321  0.5467  0.6423
O  0.2931  0.9281  0.8631
O  0.3849  0.3965  0.1400
O  0.4533  0.7679  0.3577
O  0.5421  0.2304  0.6243
O  0.6035  0.6151  0.8600
O  0.7017  0.0606  0.1378
O  0.7696  0.4579  0.3757
O  0.8799  0.8828  0.6139
O  0.9394  0.2983  0.8622

Principal peaks in the range 2θ from 10° to 90°, by angle:
2θ 18.28, intensity 100.0
2θ 35.87, intensity 26.9
2θ 43.48, intensity 57.2
2θ 43.69, intensity 28.3
2θ 62.70, intensity 15.2
2θ 63.97, intensity 14.9



Simulated powder diffractogram of Li3MnCoO5 for Cu Kα (λ = 1.5418 Å), from the PBE+U geometry in the Materials Project.
Intensities are scaled so that the largest is 100.

Unit cell a=5.0501 b=5.1364 c=7.7222 alpha=102.98 beta=108.56 gamma=99.85
Sites, in units of the cell vectors:
Li  0.0000  0.0000  0.0000
Li  0.0075  0.4984  0.4973
Li  0.1956  0.4969  0.9034
Li  0.3830  0.4911  0.2899
Li  0.6055  0.5071  0.7054
Li  0.8031  0.4947  0.0952
Mn  0.6012  0.0016  0.1945
Mn  0.8000  0.9966  0.5987
Co  0.1967  0.9977  0.3886
Co  0.4035  0.9962  0.8055
O  0.0063  0.7772  0.7340
O  0.1800  0.2202  0.6377
O  0.2211  0.7730  0.1646
O  0.4203  0.2278  0.0570
O  0.4265  0.7665  0.5539
O  0.5873  0.7653  0.9618
O  0.6053  0.2191  0.4438
O  0.7782  0.2239  0.8250
O  0.7942  0.7797  0.3510
O  0.9791  0.2300  0.2498

Principal peaks in the range 2θ from 10° to 90°, by angle:
2θ 18.37, intensity 100.0
2θ 36.16, intensity 25.2
2θ 43.24, intensity 30.2
2θ 43.83, intensity 58.4
2θ 63.01, intensity 16.2
2θ 63.52, intensity 15.8



Simulated powder diffractogram of Li5MnCo2O8 for Cu Kα (λ = 1.5418 Å), from the PBE+U geometry in the Materials Project.
Intensities are scaled so that the largest is 100.

Unit cell a=5.0770 b=2.9107 c=9.7422 alpha=90.00 beta=101.15 gamma=90.00
Sites, in units of the cell vectors:
Li  0.0000  0.0000  0.0000
Li  0.2386  0.5000  0.2310
Li  0.2585  0.0000  0.7620
Li  0.7415  0.0000  0.2380
Li  0.7614  0.5000  0.7690
Mn  0.0000  0.5000  0.5000
Co  0.5000  0.0000  0.5000
Co  0.5000  0.5000  0.0000
O  0.1018  0.0000  0.3849
O  0.1710  0.5000  0.8893
O  0.3582  0.5000  0.6096
O  0.3856  0.0000  0.1129
O  0.6144  0.0000  0.8871
O  0.6418  0.5000  0.3904
O  0.8290  0.5000  0.1107
O  0.8982  0.0000  0.6151

Principal peaks in the range 2θ from 10° to 90°, by angle:
2θ 18.57, intensity 100.0
2θ 36.06, intensity 41.2
2θ 43.64, intensity 61.9
2θ 44.13, intensity 28.3
2θ 63.61, intensity 15.7
2θ 63.99, intensity 24.1



Please write out number 2 again, unchanged.
Simulated powder diffractogram of Li4Mn3CoO8 for Cu Kα (λ = 1.5418 Å), from the PBE+U geometry in the Materials Project.
Intensities are scaled so that the largest is 100.

Unit cell a=5.9212 b=5.9683 c=10.2128 alpha=74.87 beta=74.80 gamma=61.07
Sites, in units of the cell vectors:
Li  0.0000  0.0000  0.0000
Li  0.0015  0.4974  0.9999
Li  0.2425  0.2409  0.7576
Li  0.2512  0.7599  0.7426
Li  0.4990  0.5000  0.4980
Li  0.5000  0.9989  0.4999
Li  0.7431  0.2377  0.2585
Li  0.7525  0.7591  0.2446
Mn  0.0007  0.4979  0.4998
Mn  0.0006  0.9987  0.4998
Mn  0.2516  0.2467  0.2504
Mn  0.5009  0.9981  0.0000
Mn  0.5015  0.4969  0.9999
Mn  0.7432  0.7510  0.7519
Co  0.2469  0.7514  0.2496
Co  0.7558  0.2438  0.7497
O  0.1203  0.1062  0.6211
O  0.1266  0.6430  0.6047
O  0.1616  0.5823  0.1263
O  0.1628  0.1194  0.1209
O  0.3397  0.9076  0.3766
O  0.3442  0.3785  0.3752
O  0.3641  0.8974  0.8835
O  0.3952  0.3472  0.8884
O  0.6060  0.6477  0.1120
O  0.6374  0.0983  0.1162
O  0.6595  0.6171  0.6253
O  0.6646  0.0870  0.6228
O  0.8410  0.8764  0.8784
O  0.8431  0.4079  0.8742
O  0.8731  0.3552  0.3949
O  0.8836  0.8900  0.3773

Principal peaks in the range 2θ from 10° to 90°, by angle:
2θ 18.25, intensity 100.0
2θ 34.83, intensity 14.9
2θ 35.06, intensity 15.2
2θ 42.19, intensity 27.6
2θ 42.50, intensity 26.9
2θ 43.86, intensity 24.7